(1)
Calculated powder XRD pattern
Compound: Ti2Sb2Pb4O13
Radiation: λ = 1.5418 Å (Cu Kα)
Structure: a cell relaxed with PBE
Intensities are scaled so that the largest is 100.

Atomic structure:
```
data_Ti2Sb2Pb4O13
_symmetry_space_group_name_H-M 'P 1'
_symmetry_Int_Tables_number 1
_cell_length_a 7.4639
_cell_length_b 7.4657
_cell_length_c 7.4696
_cell_angle_alpha 119.90
_cell_angle_beta 119.75
_cell_angle_gamma 90.22
loop_
_symmetry_equiv_pos_as_xyz
'x,y,z'
loop_
_atom_site_label
_atom_site_type_symbol
_atom_site_fract_x
_atom_site_fract_y
_atom_site_fract_z
Ti1 Ti 0.0000 0.0000 0.0000
Ti2 Ti 0.4843 0.9864 0.4954
Sb1 Sb 0.5060 0.9908 0.0125
Sb2 Sb 0.5070 0.4912 0.5123
Pb1 Pb 0.0055 0.5093 0.5213
Pb2 Pb 0.0062 0.9862 0.4875
Pb3 Pb 0.5067 0.4998 0.0243
Pb4 Pb 0.9837 0.4683 0.9945
O1 O 0.1267 0.3660 0.7573
O2 O 0.1886 0.9180 0.8797
O3 O 0.1902 0.3074 0.2606
O4 O 0.1959 0.9361 0.2742
O5 O 0.4299 0.6647 0.7607
O6 O 0.4336 0.0580 0.7610
O7 O 0.4407 0.6712 0.3728
O8 O 0.5707 0.9202 0.2605
O9 O 0.5778 0.3075 0.6464
O10 O 0.5783 0.3127 0.2608
O11 O 0.8257 0.0560 0.1521
O12 O 0.8278 0.0662 0.7745
O13 O 0.8275 0.6703 0.7600
```

The 8 most intense peaks (5° ≤ 2θ ≤ 70°), low angle first:
| (hkl) | d (Å) | 2θ/deg | I (rel.) |
| --- | --- | --- | --- |
| 1 0 -1 | 6.100 | 14.52 | 15 |
| 2 0 0 | 3.051 | 29.27 | 100 |
| 2 -2 0 | 2.647 | 33.87 | 25 |
| 2 2 -2 | 2.634 | 34.04 | 12 |
| 0 4 -2 | 1.868 | 48.75 | 28 |
| 0 2 -4 | 1.597 | 57.74 | 14 |
| 4 -2 0 | 1.594 | 57.83 | 15 |
| 4 2 -4 | 1.590 | 58.01 | 14 |



(2)
Calculated powder XRD pattern
Compound: Tl2SbPbO4
Radiation: λ = 1.5418 Å (Cu Kα)
Structure: a cell relaxed with PBE
Intensities are scaled so that the largest is 100.

Atomic structure:
```
data_Tl2SbPbO4
_symmetry_space_group_name_H-M 'P 1'
_symmetry_Int_Tables_number 1
_cell_length_a 6.0466
_cell_length_b 6.0476
_cell_length_c 6.6004
_cell_angle_alpha 62.86
_cell_angle_beta 62.86
_cell_angle_gamma 89.95
loop_
_symmetry_equiv_pos_as_xyz
'x,y,z'
loop_
_atom_site_label
_atom_site_type_symbol
_atom_site_fract_x
_atom_site_fract_y
_atom_site_fract_z
Tl1 Tl 0.0000 0.0000 0.0000
Tl2 Tl 0.2494 0.7505 0.4996
Sb1 Sb 0.7494 0.2497 0.5001
Pb1 Pb 0.4995 0.5006 0.0000
O1 O 0.0724 0.5240 0.2815
O2 O 0.4749 0.3549 0.7192
O3 O 0.6436 0.1932 0.2815
O4 O 0.8065 0.9263 0.7183
```

The 8 most intense peaks (5° ≤ 2θ ≤ 70°), low angle first:
| (hkl) | d (Å) | 2θ/deg | I (rel.) |
| --- | --- | --- | --- |
| 1 1 0 | 3.264 | 27.32 | 100 |
| 1 1 2 | 3.256 | 27.39 | 33 |
| 2 0 1 | 3.024 | 29.54 | 47 |
| 2 2 2 | 2.138 | 42.27 | 22 |
| 2 0 -1 | 1.940 | 46.83 | 17 |
| 2 0 3 | 1.934 | 46.98 | 17 |
| 3 1 1 | 1.790 | 51.03 | 24 |
| 3 1 3 | 1.786 | 51.13 | 24 |



(3)
Calculated powder XRD pattern
Compound: TlSbPb2O5
Radiation: λ = 1.5418 Å (Cu Kα)
Structure: a cell relaxed with PBE
Intensities are scaled so that the largest is 100.

Atomic structure:
```
data_TlSbPb2O5
_symmetry_space_group_name_H-M 'C m c 21'
_symmetry_Int_Tables_number 36
_cell_length_a 3.6124
_cell_length_b 14.2519
_cell_length_c 13.7614
_cell_angle_alpha 90.00
_cell_angle_beta 90.00
_cell_angle_gamma 90.00
loop_
_symmetry_equiv_pos_as_xyz
'x,y,z'
'-x,-y,z+1/2'
'-x,y,z'
'x,-y,z+1/2'
'x+1/2,y+1/2,z'
'-x+1/2,-y+1/2,z+1/2'
'-x+1/2,y+1/2,z'
'x+1/2,-y+1/2,z+1/2'
loop_
_atom_site_label
_atom_site_type_symbol
_atom_site_fract_x
_atom_site_fract_y
_atom_site_fract_z
Tl1 Tl 0.0000 0.2474 0.0000
Sb1 Sb 0.0000 0.4545 0.8420
Pb1 Pb 0.0000 0.0224 0.5892
Pb2 Pb 0.0000 0.3007 0.2480
O1 O 0.0000 0.0121 0.8702
O2 O 0.0000 0.1813 0.6332
O3 O 0.0000 0.3292 0.7933
O4 O 0.0000 0.4179 0.9822
O5 O 0.0000 0.4730 0.2200
```

The 8 most intense peaks (5° ≤ 2θ ≤ 70°), low angle first:
| (hkl) | d (Å) | 2θ/deg | I (rel.) |
| --- | --- | --- | --- |
| 0 2 1 | 6.328 | 14.00 | 33 |
| 0 4 0 | 3.563 | 24.99 | 50 |
| 0 0 4 | 3.446 | 25.86 | 45 |
| 1 1 1 | 3.394 | 26.26 | 40 |
| 1 1 2 | 3.121 | 28.60 | 72 |
| 0 2 4 | 3.098 | 28.82 | 100 |
| 1 3 1 | 2.814 | 31.79 | 57 |
| 1 1 3 | 2.783 | 32.16 | 36 |



(4)
Calculated powder XRD pattern
Compound: Zr2Sb2Pb4O13
Radiation: λ = 1.5418 Å (Cu Kα)
Structure: a cell relaxed with PBE
Intensities are scaled so that the largest is 100.

Atomic structure:
```
data_Zr2Sb2Pb4O13
_symmetry_space_group_name_H-M 'I m m 2'
_symmetry_Int_Tables_number 44
_cell_length_a 7.6319
_cell_length_b 7.6756
_cell_length_c 10.8085
_cell_angle_alpha 90.00
_cell_angle_beta 90.00
_cell_angle_gamma 90.00
loop_
_symmetry_equiv_pos_as_xyz
'x,y,z'
'-x,-y,z'
'-x,y,z'
'x,-y,z'
'x+1/2,y+1/2,z+1/2'
'-x+1/2,-y+1/2,z+1/2'
'-x+1/2,y+1/2,z+1/2'
'x+1/2,-y+1/2,z+1/2'
loop_
_atom_site_label
_atom_site_type_symbol
_atom_site_fract_x
_atom_site_fract_y
_atom_site_fract_z
Zr1 Zr 0.0000 0.2485 0.0000
Sb1 Sb 0.2494 0.0000 0.7500
Pb1 Pb 0.0000 0.2497 0.4990
Pb2 Pb 0.2447 0.5000 0.7518
O1 O 0.0000 0.0000 0.0762
O2 O 0.0000 0.0000 0.6845
O3 O 0.0000 0.5000 0.3175
O4 O 0.0000 0.5000 0.6208
O5 O 0.0000 0.5000 0.9137
O6 O 0.2036 0.1879 0.8737
O7 O 0.2052 0.3113 0.1261
```

The 8 most intense peaks (5° ≤ 2θ ≤ 70°), low angle first:
| (hkl) | d (Å) | 2θ/deg | I (rel.) |
| --- | --- | --- | --- |
| 1 0 1 | 6.241 | 14.19 | 14 |
| 0 2 2 | 3.129 | 28.53 | 100 |
| 2 0 2 | 3.117 | 28.64 | 98 |
| 2 2 0 | 2.705 | 33.12 | 76 |
| 2 2 4 | 1.912 | 47.56 | 58 |
| 4 0 0 | 1.908 | 47.66 | 15 |
| 2 4 2 | 1.634 | 56.30 | 30 |
| 0 2 6 | 1.629 | 56.47 | 60 |



(5)
Calculated powder XRD pattern
Compound: ScPb2O
Radiation: λ = 1.5418 Å (Cu Kα)
Structure: a cell relaxed with PBE
Intensities are scaled so that the largest is 100.

Atomic structure:
```
data_ScPb2O
_symmetry_space_group_name_H-M 'I -4 2 d'
_symmetry_Int_Tables_number 122
_symmetry_space_group_name_Hall 'I -4 2bw'
_cell_length_a 7.3564
_cell_length_b 7.3564
_cell_length_c 6.6910
_cell_angle_alpha 90.00
_cell_angle_beta 90.00
_cell_angle_gamma 90.00
loop_
_atom_site_label
_atom_site_type_symbol
_atom_site_fract_x
_atom_site_fract_y
_atom_site_fract_z
Sc1 Sc 0.0000 0.0000 0.0000
Pb1 Pb 0.1824 0.2500 0.6250
O1 O 0.0000 0.0000 0.5000
```

The 8 most intense peaks (5° ≤ 2θ ≤ 70°), low angle first:
| (hkl) | d (Å) | 2θ/deg | I (rel.) |
| --- | --- | --- | --- |
| 2 0 0 | 3.678 | 24.20 | 52 |
| 2 1 1 | 2.952 | 30.27 | 55 |
| 1 1 2 | 2.814 | 31.80 | 100 |
| 2 2 0 | 2.601 | 34.48 | 31 |
| 3 0 1 | 2.302 | 39.13 | 19 |
| 3 2 1 | 1.952 | 46.53 | 27 |
| 3 1 2 | 1.910 | 47.61 | 30 |
| 4 3 1 | 1.437 | 64.89 | 19 |



(6)
Calculated powder XRD pattern
Compound: Sr2ScPbO6
Radiation: λ = 1.5418 Å (Cu Kα)
Structure: a cell relaxed with PBE
Intensities are scaled so that the largest is 100.

Atomic structure:
```
data_Sr2ScPbO6
_symmetry_space_group_name_H-M 'P 1 21/c 1'
_symmetry_Int_Tables_number 14
_cell_length_a 5.8720
_cell_length_b 5.9648
_cell_length_c 10.1916
_cell_angle_alpha 90.00
_cell_angle_beta 125.11
_cell_angle_gamma 90.00
loop_
_symmetry_equiv_pos_as_xyz
'x,y,z'
'-x,-y,-z'
'-x,y+1/2,-z+1/2'
'x,-y+1/2,z+1/2'
loop_
_atom_site_label
_atom_site_type_symbol
_atom_site_fract_x
_atom_site_fract_y
_atom_site_fract_z
Sr1 Sr 0.2397 0.0423 0.2502
Sc1 Sc 0.0000 0.0000 0.5000
Pb1 Pb 0.5000 0.0000 0.0000
O1 O 0.1581 0.2156 0.9543
O2 O 0.2426 0.7062 0.9555
O3 O 0.3304 0.0280 0.7451
```

The 8 most intense peaks (5° ≤ 2θ ≤ 70°), low angle first:
| (hkl) | d (Å) | 2θ/deg | I (rel.) |
| --- | --- | --- | --- |
| 0 1 1 | 4.851 | 18.29 | 26 |
| 1 0 -2 | 4.800 | 18.48 | 25 |
| 0 2 0 | 2.982 | 29.96 | 24 |
| 1 1 1 | 2.953 | 30.26 | 100 |
| 2 0 -2 | 2.936 | 30.45 | 24 |
| 2 2 -2 | 2.092 | 43.24 | 27 |
| 1 3 -3 | 1.716 | 53.38 | 18 |
| 3 1 -5 | 1.699 | 53.98 | 35 |



(7)
Calculated powder XRD pattern
Compound: Sc2TcPbO8
Radiation: λ = 1.5418 Å (Cu Kα)
Structure: a cell relaxed with PBE
Intensities are scaled so that the largest is 100.

Atomic structure:
```
data_Sc2TcPbO8
_symmetry_space_group_name_H-M 'C m m m'
_symmetry_Int_Tables_number 65
_symmetry_space_group_name_Hall '-C 2 2'
_cell_length_a 6.7614
_cell_length_b 6.8953
_cell_length_c 6.5780
_cell_angle_alpha 90.00
_cell_angle_beta 90.00
_cell_angle_gamma 90.00
loop_
_atom_site_label
_atom_site_type_symbol
_atom_site_fract_x
_atom_site_fract_y
_atom_site_fract_z
Sc1 Sc 0.0000 0.0000 0.2479
Tc1 Tc 0.0000 0.5000 0.0000
Pb1 Pb 0.0000 0.5000 0.5000
O1 O 0.0000 0.3080 0.2126
O2 O 0.1814 0.0000 0.5000
O3 O 0.2168 0.0000 0.0000
```

The 8 most intense peaks (5° ≤ 2θ ≤ 70°), low angle first:
| (hkl) | d (Å) | 2θ/deg | I (rel.) |
| --- | --- | --- | --- |
| 1 1 0 | 4.828 | 18.38 | 76 |
| 0 2 0 | 3.448 | 25.84 | 65 |
| 2 0 0 | 3.381 | 26.36 | 61 |
| 1 1 2 | 2.718 | 32.95 | 100 |
| 0 2 2 | 2.380 | 37.80 | 29 |
| 1 3 2 | 1.815 | 50.27 | 43 |
| 3 1 2 | 1.795 | 50.87 | 41 |
| 3 3 2 | 1.445 | 64.46 | 26 |



(8)
Calculated powder XRD pattern
Compound: Pb5Se4O
Radiation: λ = 1.5418 Å (Cu Kα)
Structure: a cell relaxed with PBE
Intensities are scaled so that the largest is 100.

Atomic structure:
```
data_Pb5Se4O
_symmetry_space_group_name_H-M 'I 4'
_symmetry_Int_Tables_number 79
_cell_length_a 9.4996
_cell_length_b 9.4996
_cell_length_c 6.2241
_cell_angle_alpha 90.00
_cell_angle_beta 90.00
_cell_angle_gamma 90.00
loop_
_symmetry_equiv_pos_as_xyz
'x,y,z'
'-y,x,z'
'-x,-y,z'
'y,-x,z'
'x+1/2,y+1/2,z+1/2'
'-y+1/2,x+1/2,z+1/2'
'-x+1/2,-y+1/2,z+1/2'
'y+1/2,-x+1/2,z+1/2'
loop_
_atom_site_label
_atom_site_type_symbol
_atom_site_fract_x
_atom_site_fract_y
_atom_site_fract_z
Pb1 Pb 0.0000 0.0000 0.0000
Pb2 Pb 0.0888 0.7251 0.5665
Se1 Se 0.0859 0.6941 0.0833
O1 O 0.0000 0.0000 0.6342
```

The 8 most intense peaks (5° ≤ 2θ ≤ 70°), low angle first:
| (hkl) | d (Å) | 2θ/deg | I (rel.) |
| --- | --- | --- | --- |
| 1 2 1 | 3.509 | 25.38 | 76 |
| 0 0 2 | 3.112 | 28.69 | 51 |
| 3 1 0 | 3.004 | 29.74 | 100 |
| 3 1 2 | 2.161 | 41.79 | 78 |
| 2 4 0 | 2.124 | 42.56 | 33 |
| 4 3 1 | 1.817 | 50.21 | 19 |
| 2 4 2 | 1.754 | 52.13 | 33 |
| 3 1 4 | 1.382 | 67.84 | 18 |